MnFe2Sb2P6O24: computed powder XRD pattern (Cu Kα, 1.54184 Å), based on a DFT-relaxed cell (GGA+U, Alexandria).
Intensities are scaled so that the largest is 100.

Largest 10 diffraction maxima, by angle, 10° ≤ 2θ ≤ 90°:
two_theta  I/Imax  (hkl)
12.15  33  0 0 3
20.22  65  1 0 4
20.86  89  1 1 0
24.20  100  1 1 3
29.21  46  0 2 4
32.34  82  1 1 6
36.54  34  3 0 0
46.54  23  3 -2 8
49.58  24  4 -2 6
57.23  23  4 1 0

Structural model:
```
data_MnFe2Sb2P6O24
_cell_length_a 8.5182
_cell_length_b 8.5182
_cell_length_c 21.8599
_cell_angle_alpha 90.00
_cell_angle_beta 90.00
_cell_angle_gamma 120.00
_space_group_name_H-M_alt 'R -3'
_space_group_IT_number 148
_space_group_name_Hall '-R 3'
loop_
_atom_site_label
_atom_site_fract_x
_atom_site_fract_y
_atom_site_fract_z
_atom_site_occupancy
Mn1 0.0000 0.0000 0.0000 1
Fe1 0.0000 0.0000 0.1461 1
Sb1 0.0000 0.0000 0.3565 1
P1 0.0072 0.7129 0.7491 1
O1 0.0047 0.8059 0.8077 1
O2 0.0174 0.8318 0.0802 1
O3 0.0644 0.8445 0.6927 1
O4 0.0713 0.8565 0.4088 1
```